CrB4: computed X-ray diffraction stick pattern (Cu Kα), based on a PBE-relaxed structure.
Kinematic intensities with the Lorentz-polarization factor, no thermal factor.

Unit cell a=4.7267 b=5.4799 c=2.8537 alpha=90.00 beta=90.00 gamma=90.00
Space group Pnnm (No. 58)
Symmetry-distinct sites (fractional):
Cr: 0.0000 0.0000 0.0000 x2
B: 0.1650 0.3665 0.0000 x4
B: 0.2234 0.6783 0.0000 x4

Peak list (8 most intense, 5° ≤ 2θ ≤ 70°, in order of falling intensity)
Position (°2θ)	I (rel.)	h k l
24.88	100	1 1 0
36.79	66	1 0 1
53.01	41	2 1 1
50.02	32	1 2 1
35.47	23	0 1 1
51.03	22	2 2 0
60.15	20	0 3 1
32.68	20	0 2 0


Cr4B: computed X-ray diffraction stick pattern (Cu Kα), based on a PBE-relaxed structure.
Kinematic intensities with the Lorentz-polarization factor, no thermal factor.

Unit cell a=4.1311 b=7.3570 c=14.2573 alpha=90.00 beta=90.00 gamma=90.00
Space group F222 (No. 22)
Symmetry-distinct sites (fractional):
Cr: 0.0000 0.0000 0.0855 x8
Cr: 0.0000 0.1568 0.5000 x8
Cr: 0.2500 0.0805 0.2500 x8
Cr: 0.2500 0.2500 0.6651 x8
B: 0.2500 0.2500 0.1252 x8

Peak list (8 most intense, 5° ≤ 2θ ≤ 70°, in order of falling intensity)
Position (°2θ)	I (rel.)	h k l
43.38	100	1 3 1
40.34	72	1 1 5
45.73	57	2 0 2
45.44	56	0 2 6
51.55	34	1 1 7
57.32	28	2 2 4
47.15	24	1 3 3
31.16	21	1 1 3


CrB: computed X-ray diffraction stick pattern (Cu Kα), based on a PBE-relaxed structure.
Kinematic intensities with the Lorentz-polarization factor, no thermal factor.

Unit cell a=2.9266 b=7.8509 c=2.9164 alpha=90.00 beta=90.00 gamma=90.00
Space group Cmcm (No. 63)
Symmetry-distinct sites (fractional):
Cr: 0.0000 0.1455 0.2500 x4
B: 0.0000 0.4356 0.2500 x4

Peak list (8 most intense, 5° ≤ 2θ ≤ 70°, in order of falling intensity)
Position (°2θ)	I (rel.)	h k l
45.40	100	1 1 1
38.45	87	0 2 1
46.55	60	1 3 0
32.65	42	1 1 0
46.26	25	0 4 0
56.78	17	1 3 1
63.58	15	2 0 0
63.83	14	0 0 2


Cr3B4: computed X-ray diffraction stick pattern (Cu Kα), based on a PBE-relaxed structure.
Kinematic intensities with the Lorentz-polarization factor, no thermal factor.

Unit cell a=2.9186 b=2.9428 c=13.0438 alpha=90.00 beta=90.00 gamma=90.00
Space group Immm (No. 71)
Symmetry-distinct sites (fractional):
Cr: 0.0000 0.0000 0.0000 x2
Cr: 0.0000 0.5000 0.1860 x4
B: 0.0000 0.0000 0.4336 x4
B: 0.0000 0.5000 0.3602 x4

Peak list (8 most intense, 5° ≤ 2θ ≤ 70°, in order of falling intensity)
Position (°2θ)	I (rel.)	h k l
45.95	100	1 1 2
36.88	92	0 1 3
46.70	63	1 0 5
31.41	39	1 0 1
41.54	29	0 0 6
52.31	16	1 1 4
63.19	16	0 2 0
63.78	15	2 0 0


Cr5B3: computed X-ray diffraction stick pattern (Cu Kα), based on a PBE-relaxed structure.
Kinematic intensities with the Lorentz-polarization factor, no thermal factor.

Unit cell a=5.4407 b=5.4407 c=9.9607 alpha=90.00 beta=90.00 gamma=90.00
Space group I4/mcm (No. 140)
Symmetry-distinct sites (fractional):
Cr: 0.0000 0.0000 0.0000 x4
Cr: 0.1711 0.3289 0.1460 x16
B: 0.0000 0.0000 0.2500 x4
B: 0.1178 0.3822 0.5000 x8

Peak list (8 most intense, 5° ≤ 2θ ≤ 70°, in order of falling intensity)
Position (°2θ)	I (rel.)	h k l
46.26	100	2 1 3
38.07	55	2 1 1
49.63	44	2 0 4
53.24	37	3 1 0
37.68	24	2 0 2
43.28	23	1 1 4
29.34	19	1 1 2
47.25	15	2 2 0


CrB2: computed X-ray diffraction stick pattern (Cu Kα), based on a PBE-relaxed structure.
Kinematic intensities with the Lorentz-polarization factor, no thermal factor.

Unit cell a=2.9593 b=2.9593 c=3.0319 alpha=90.00 beta=90.00 gamma=120.00
Space group P6/mmm (No. 191)
Symmetry-distinct sites (fractional):
Cr: 0.0000 0.0000 0.0000 x1
B: 0.3333 0.6667 0.5000 x2

Peak list (5 most intense, 5° ≤ 2θ ≤ 70°, in order of falling intensity)
Position (°2θ)	I (rel.)	h k l
46.39	100	1 0 1
35.01	67	1 0 0
29.46	23	0 0 1
62.80	22	1 1 0
61.13	8	0 0 2


Cr2B: computed X-ray diffraction stick pattern (Cu Kα), based on a PBE-relaxed structure.
Kinematic intensities with the Lorentz-polarization factor, no thermal factor.

Unit cell a=5.1392 b=5.1392 c=4.2823 alpha=90.00 beta=90.00 gamma=90.00
Space group I4/mcm (No. 140)
Symmetry-distinct sites (fractional):
Cr: 0.1661 0.3339 0.0000 x8
B: 0.0000 0.0000 0.2500 x4

Peak list (8 most intense, 5° ≤ 2θ ≤ 70°, in order of falling intensity)
Position (°2θ)	I (rel.)	h k l
44.75	100	2 1 1
42.21	23	0 0 2
34.92	17	2 0 0
55.90	13	2 0 2
56.64	13	3 1 0
24.50	7	1 1 0
49.40	7	1 1 2
50.21	3	2 2 0


CrCuB: computed X-ray diffraction stick pattern (Cu Kα), based on a PBE-relaxed structure.
Kinematic intensities with the Lorentz-polarization factor, no thermal factor.

Unit cell a=5.0765 b=5.0765 c=5.0765 alpha=90.00 beta=90.00 gamma=90.00
Space group F-43m (No. 216)
Symmetry-distinct sites (fractional):
Cr: 0.0000 0.0000 0.0000 x4
Cu: 0.0000 0.0000 0.5000 x4
B: 0.2500 0.2500 0.7500 x4

Peak list (5 most intense, 5° ≤ 2θ ≤ 70°, in order of falling intensity)
Position (°2θ)	I (rel.)	h k l
35.36	100	2 0 0
50.88	84	2 2 0
63.48	21	2 2 2
30.50	4	1 1 1
60.49	2	3 1 1